AcMgAgBi: calculated X-ray diffraction stick pattern (λ = 1.5418 Å (Cu Kα)), based on DFT lattice parameters and positions (PBE).

Principal peaks in the range 10 to 90 degrees two-theta, sorted by position:
Position (°2θ)	d [Å]	I_rel	h k l
19.8	4.490	32	1 1 1
32.6	2.749	100	2 2 0
38.4	2.345	19	3 1 1
46.7	1.944	18	4 0 0
58.1	1.587	39	4 2 2
77.7	1.230	17	6 2 0

Structural model:
```
data_AcMgAgBi
_chemical_formula_sum 'Ac4 Mg4 Ag4 Bi4'
_cell_length_a 7.777
_cell_length_b 7.777
_cell_length_c 7.777
_cell_angle_alpha 90.00
_cell_angle_beta 90.00
_cell_angle_gamma 90.00
_symmetry_space_group_name_H-M 'P 1'
_symmetry_Int_Tables_number 1
loop_
_symmetry_equiv_pos_as_xyz
'x,y,z'
loop_
_atom_site_label
_atom_site_fract_x
_atom_site_fract_y
_atom_site_fract_z
_atom_site_occupancy
Ac1 0.000 0.000 0.000 1
Ac2 0.000 0.500 0.500 1
Ac3 0.500 0.000 0.500 1
Ac4 0.500 0.500 0.000 1
Mg1 0.000 0.000 0.500 1
Mg2 0.000 0.500 0.000 1
Mg3 0.500 0.000 0.000 1
Mg4 0.500 0.500 0.500 1
Ag1 0.250 0.250 0.250 1
Ag2 0.250 0.750 0.750 1
Ag3 0.750 0.250 0.750 1
Ag4 0.750 0.750 0.250 1
Bi1 0.250 0.250 0.750 1
Bi2 0.250 0.750 0.250 1
Bi3 0.750 0.250 0.250 1
Bi4 0.750 0.750 0.750 1
```

***

CaZn3Ag: calculated X-ray diffraction stick pattern (λ = 1.5418 Å (Cu Kα)), based on DFT lattice parameters and positions (PBE).

Principal peaks in the range 10 to 90 degrees two-theta, sorted by position:
Position (°2θ)	d [Å]	I_rel	h k l
22.8	3.898	77	1 1 -1
31.6	2.835	33	1 1 -2
34.2	2.620	100	2 0 0
34.4	2.605	32	2 0 -2
43.6	2.074	73	0 2 2
43.8	2.067	89	2 2 -1

Structural model:
```
data_CaZn3Ag
_chemical_formula_sum 'Ca2 Zn6 Ag2'
_cell_length_a 5.834
_cell_length_b 5.857
_cell_length_c 6.536
_cell_angle_alpha 90.00
_cell_angle_beta 116.09
_cell_angle_gamma 90.00
_symmetry_space_group_name_H-M 'P 1'
_symmetry_Int_Tables_number 1
loop_
_symmetry_equiv_pos_as_xyz
'x,y,z'
loop_
_atom_site_label
_atom_site_fract_x
_atom_site_fract_y
_atom_site_fract_z
_atom_site_occupancy
Ca1 0.000 0.000 0.000 1
Ca2 0.500 0.500 0.000 1
Zn1 0.008 0.247 0.516 1
Zn2 0.008 0.753 0.516 1
Zn3 0.391 0.000 0.781 1
Zn4 0.508 0.253 0.516 1
Zn5 0.508 0.747 0.516 1
Zn6 0.891 0.500 0.781 1
Ag1 0.111 0.500 0.224 1
Ag2 0.611 0.000 0.224 1
```